Entry 1:
# BaSrN
Simulated PXRD pattern, Cu Kα (λ = 1.5418 Å). Input: a cell relaxed with GGA-PBE.

Crystal structure
```
data_BaSrN
_chemical_formula_sum 'Ba4 Sr4 N4'
_cell_length_a 4.1301
_cell_length_b 16.7037
_cell_length_c 6.7105
_cell_angle_alpha 90.00
_cell_angle_beta 90.00
_cell_angle_gamma 90.00
_symmetry_space_group_name_H-M 'C m c 21'
_symmetry_Int_Tables_number 36
_symmetry_space_group_name_Hall 'C 2c -2'
loop_
_atom_site_label
_atom_site_type_symbol
_atom_site_fract_x
_atom_site_fract_y
_atom_site_fract_z
_atom_site_occupancy
Ba1 Ba 0.0000 0.0664 0.0000 1
Sr1 Sr 0.0000 0.3477 0.9604 1
N1 N 0.0000 0.0785 0.3879 1
```

Principal peaks in the range 10° ≤ 2θ ≤ 80°, in order of rising 2θ:
2θ (°)	Rel. int.	hkl
10.6	54	0 2 0
22.2	30	1 1 0
25.1	100	0 4 1
25.9	86	1 1 1
26.6	68	0 0 2
26.9	45	1 3 0
30.1	78	1 3 1
34.9	37	0 6 1
38.2	33	1 3 2
43.8	55	2 0 0
51.2	29	2 4 1
52.0	58	2 0 2


Entry 2:
# BaSrN
Simulated PXRD pattern, Cu Kα (λ = 1.5418 Å). Input: a cell relaxed with GGA-PBE.

Crystal structure
```
data_BaSrN
_chemical_formula_sum 'Ba3 Sr3 N3'
_cell_length_a 3.9573
_cell_length_b 3.9573
_cell_length_c 21.8421
_cell_angle_alpha 90.00
_cell_angle_beta 90.00
_cell_angle_gamma 120.00
_symmetry_space_group_name_H-M 'R 3 m'
_symmetry_Int_Tables_number 160
_symmetry_space_group_name_Hall 'R 3 -2"'
loop_
_atom_site_label
_atom_site_type_symbol
_atom_site_fract_x
_atom_site_fract_y
_atom_site_fract_z
_atom_site_occupancy
Ba1 Ba 0.0000 0.0000 0.0000 1
Sr1 Sr 0.0000 0.0000 0.4657 1
N1 N 0.0000 0.0000 0.7363 1
```

Principal peaks in the range 10° ≤ 2θ ≤ 80°, in order of rising 2θ:
2θ (°)	Rel. int.	hkl
12.2	49	0 0 3
24.5	29	0 0 6
27.3	100	0 1 2
30.8	84	1 0 4
33.2	17	0 1 5
39.0	26	1 0 7
42.3	19	0 1 8
45.9	32	1 1 0
52.6	22	1 1 6
53.3	18	0 1 11
54.2	15	2 0 2
60.4	16	1 1 9


Entry 3:
# Ba2Ta2N
Simulated PXRD pattern, Cu Kα (λ = 1.5418 Å). Input: a cell relaxed with GGA-PBE.

Crystal structure
```
data_Ba2Ta2N
_chemical_formula_sum 'Ba4 Ta4 N2'
_cell_length_a 3.6434
_cell_length_b 3.6434
_cell_length_c 20.5674
_cell_angle_alpha 90.00
_cell_angle_beta 90.00
_cell_angle_gamma 90.00
_symmetry_space_group_name_H-M 'I 4/m m m'
_symmetry_Int_Tables_number 139
_symmetry_space_group_name_Hall '-I 4 2'
loop_
_atom_site_label
_atom_site_type_symbol
_atom_site_fract_x
_atom_site_fract_y
_atom_site_fract_z
_atom_site_occupancy
Ba1 Ba 0.0000 0.0000 0.0759 1
Ta1 Ta 0.0000 0.5000 0.2500 1
N1 N 0.0000 0.0000 0.5000 1
```

Principal peaks in the range 10° ≤ 2θ ≤ 80°, in order of rising 2θ:
2θ (°)	Rel. int.	hkl
17.2	45	0 0 4
24.8	46	1 0 1
26.0	75	0 0 6
32.8	20	1 0 5
35.9	100	1 1 2
39.1	54	1 1 4
39.4	21	1 0 7
50.1	72	2 0 0
57.3	49	2 0 6
74.3	17	1 1 14
76.3	18	2 0 12
79.5	14	2 2 6


Entry 4:
# Ba3Ta3N5
Simulated PXRD pattern, Cu Kα (λ = 1.5418 Å). Input: a cell relaxed with GGA-PBE.

Crystal structure
```
data_Ba3Ta3N5
_chemical_formula_sum 'Ba6 Ta6 N10'
_cell_length_a 6.0479
_cell_length_b 8.5150
_cell_length_c 9.2353
_cell_angle_alpha 110.59
_cell_angle_beta 100.53
_cell_angle_gamma 103.28
_symmetry_space_group_name_H-M 'P -1'
_symmetry_Int_Tables_number 2
_symmetry_space_group_name_Hall '-P 1'
loop_
_atom_site_label
_atom_site_type_symbol
_atom_site_fract_x
_atom_site_fract_y
_atom_site_fract_z
_atom_site_occupancy
Ba1 Ba 0.1344 0.3175 0.4095 1
Ba2 Ba 0.1979 0.1937 0.7617 1
Ba3 Ba 0.2592 0.9383 0.1029 1
Ta1 Ta 0.1615 0.5031 0.1379 1
Ta2 Ta 0.3938 0.8093 0.4648 1
Ta3 Ta 0.4208 0.6191 0.8005 1
N1 N 0.2240 0.2652 0.0845 1
N2 N 0.2271 0.5701 0.9537 1
N3 N 0.2740 0.0081 0.4477 1
N4 N 0.3546 0.7334 0.6462 1
N5 N 0.4954 0.5985 0.3183 1
```

Principal peaks in the range 10° ≤ 2θ ≤ 80°, in order of rising 2θ:
2θ (°)	Rel. int.	hkl
11.7	29	0 1 0
26.9	54	1 -1 2
28.5	30	1 -2 2
29.8	94	0 2 1
30.0	100	1 2 -2
30.5	86	-2 1 1
31.7	73	1 0 -3
32.5	76	1 -3 1
34.6	38	1 -3 2
37.5	35	2 1 0
48.3	27	-2 3 2
50.3	29	0 4 -4


Entry 5:
# Ba5Ta2N6
Simulated PXRD pattern, Cu Kα (λ = 1.5418 Å). Input: a cell relaxed with GGA-PBE.

Crystal structure
```
data_Ba5Ta2N6
_chemical_formula_sum 'Ba20 Ta8 N24'
_cell_length_a 10.8386
_cell_length_b 7.7258
_cell_length_c 14.6849
_cell_angle_alpha 90.00
_cell_angle_beta 93.88
_cell_angle_gamma 90.00
_symmetry_space_group_name_H-M 'C 1 2/c 1'
_symmetry_Int_Tables_number 15
_symmetry_space_group_name_Hall '-C 2yc'
loop_
_atom_site_label
_atom_site_type_symbol
_atom_site_fract_x
_atom_site_fract_y
_atom_site_fract_z
_atom_site_occupancy
Ba1 Ba 0.0000 0.0830 0.2500 1
Ba2 Ba 0.0490 0.2331 0.9743 1
Ba3 Ba 0.1604 0.4754 0.7012 1
Ta1 Ta 0.2275 0.3669 0.4212 1
N1 N 0.0675 0.4624 0.3806 1
N2 N 0.1537 0.1291 0.6718 1
N3 N 0.1932 0.1093 0.4463 1
```

Principal peaks in the range 10° ≤ 2θ ≤ 80°, in order of rising 2θ:
2θ (°)	Rel. int.	hkl
15.1	45	1 1 -1
15.6	29	1 1 1
26.1	81	0 2 2
27.3	50	3 1 0
27.7	100	1 1 -4
28.4	59	3 1 1
29.3	66	3 1 -2
29.5	58	0 2 3
30.4	68	2 0 4
32.0	44	3 1 -3
36.3	31	1 3 -1
45.1	27	1 1 -7


Entry 6:
# BaTbTaN3
Simulated PXRD pattern, Cu Kα (λ = 1.5418 Å). Input: a cell relaxed with GGA-PBE.

Crystal structure
```
data_BaTbTaN3
_chemical_formula_sum 'Ba4 Tb4 Ta4 N12'
_cell_length_a 13.6707
_cell_length_b 4.0580
_cell_length_c 7.7421
_cell_angle_alpha 90.00
_cell_angle_beta 105.18
_cell_angle_gamma 90.00
_symmetry_space_group_name_H-M 'C 1 2/m 1'
_symmetry_Int_Tables_number 12
_symmetry_space_group_name_Hall '-C 2y'
loop_
_atom_site_label
_atom_site_type_symbol
_atom_site_fract_x
_atom_site_fract_y
_atom_site_fract_z
_atom_site_occupancy
Ba1 Ba 0.1482 0.0000 0.0770 1
Tb1 Tb 0.1581 0.0000 0.5762 1
Ta1 Ta 0.0027 0.5000 0.3072 1
N1 N 0.0062 0.0000 0.3206 1
N2 N 0.1489 0.5000 0.7909 1
N3 N 0.1617 0.5000 0.3534 1
```

Principal peaks in the range 10° ≤ 2θ ≤ 80°, in order of rising 2θ:
2θ (°)	Rel. int.	hkl
11.8	24	0 0 1
30.0	100	3 1 0
30.4	43	2 0 2
31.1	43	4 0 -2
32.0	96	1 1 -2
41.0	28	6 0 0
44.7	27	0 2 0
52.5	18	5 1 2
53.4	19	7 1 -2
55.0	17	2 2 2
55.4	17	4 2 -2
62.3	15	6 2 0


Entry 7:
# BaYTaN3
Simulated PXRD pattern, Cu Kα (λ = 1.5418 Å). Input: a cell relaxed with GGA-PBE.

Crystal structure
```
data_BaYTaN3
_chemical_formula_sum 'Ba4 Y4 Ta4 N12'
_cell_length_a 13.6382
_cell_length_b 4.0553
_cell_length_c 7.7465
_cell_angle_alpha 90.00
_cell_angle_beta 105.15
_cell_angle_gamma 90.00
_symmetry_space_group_name_H-M 'C 1 2/m 1'
_symmetry_Int_Tables_number 12
_symmetry_space_group_name_Hall '-C 2y'
loop_
_atom_site_label
_atom_site_type_symbol
_atom_site_fract_x
_atom_site_fract_y
_atom_site_fract_z
_atom_site_occupancy
Ba1 Ba 0.1481 0.0000 0.0770 1
Y1 Y 0.1586 0.0000 0.5766 1
Ta1 Ta 0.0029 0.5000 0.3079 1
N1 N 0.0065 0.0000 0.3221 1
N2 N 0.1489 0.5000 0.7912 1
N3 N 0.1622 0.5000 0.3526 1
```

Principal peaks in the range 10° ≤ 2θ ≤ 80°, in order of rising 2θ:
2θ (°)	Rel. int.	hkl
13.5	30	2 0 0
30.0	100	3 1 0
30.4	42	2 0 2
31.2	42	4 0 -2
32.0	98	1 1 -2
41.1	28	6 0 0
44.7	34	0 2 0
52.6	18	5 1 2
53.5	19	7 1 -2
55.0	16	2 2 2
55.5	17	4 2 -2
62.4	16	6 2 0


Entry 8:
# BaY2TaN4
Simulated PXRD pattern, Cu Kα (λ = 1.5418 Å). Input: a cell relaxed with GGA-PBE.

Crystal structure
```
data_BaY2TaN4
_chemical_formula_sum 'Ba4 Y8 Ta4 N16'
_cell_length_a 3.5131
_cell_length_b 12.6276
_cell_length_c 12.1607
_cell_angle_alpha 90.00
_cell_angle_beta 90.00
_cell_angle_gamma 90.00
_symmetry_space_group_name_H-M 'C m c m'
_symmetry_Int_Tables_number 63
_symmetry_space_group_name_Hall '-C 2c 2'
loop_
_atom_site_label
_atom_site_type_symbol
_atom_site_fract_x
_atom_site_fract_y
_atom_site_fract_z
_atom_site_occupancy
Ba1 Ba 0.0000 0.0891 0.2500 1
Y1 Y 0.0000 0.3719 0.0344 1
Ta1 Ta 0.0000 0.1728 0.7500 1
N1 N 0.0000 0.0000 0.0000 1
N2 N 0.0000 0.2553 0.6163 1
N3 N 0.0000 0.4091 0.2500 1
```

Principal peaks in the range 10° ≤ 2θ ≤ 80°, in order of rising 2θ:
2θ (°)	Rel. int.	hkl
14.6	33	0 0 2
28.3	32	0 4 0
29.2	46	0 4 1
29.4	62	0 0 4
30.2	100	1 1 2
34.0	40	1 3 1
36.1	25	0 4 3
36.4	81	1 3 2
41.2	21	0 4 4
49.8	25	1 5 3
50.5	19	1 3 5
60.9	32	2 0 4